(1)
# Li2Al2SiO6
Computed X-ray powder pattern, Cu Kα X-rays. Input: a DFT-relaxed cell (PBE, Alexandria).
Neutral-atom scattering factors, no anomalous dispersion.

Crystal structure
a b c (Å): 5.330 9.200 5.764
angles (deg): 90.00 90.00 90.00
Space group C222 (No. 21)
Symmetry-distinct sites (fractional):
Li (0.000, 0.000, 0.218) (multiplicity 4)
Al (0.250, 0.250, 0.838) (multiplicity 4)
Si (0.000, 0.500, 0.500) (multiplicity 2)
O (0.000, 0.177, 0.000) (multiplicity 4)
O (0.188, 0.403, 0.663) (multiplicity 8)

Peak list (10 most intense, 10° ≤ 2θ ≤ 90°, sorted by position)
two_theta, Rel. int.
19.25, 5
24.73, 100
33.70, 4
39.06, 3
46.46, 23
55.06, 8
55.16, 3
63.00, 11
70.91, 4
74.94, 4

(2)
# AcCu3Sn2
Computed X-ray powder pattern, Cu Kα X-rays. Input: a DFT-relaxed cell (PBE, Alexandria).
Neutral-atom scattering factors, no anomalous dispersion.

Crystal structure
a b c (Å): 16.683 4.490 7.619
angles (deg): 90.00 114.82 90.00
Space group C2/m (No. 12)
Symmetry-distinct sites (fractional):
Ac (0.153, 0.000, 0.097) (multiplicity 4)
Cu (0.001, 0.000, 0.660) (multiplicity 4)
Cu (0.085, 0.500, 0.626) (multiplicity 4)
Cu (0.197, 0.500, 0.465) (multiplicity 4)
Sn (0.028, 0.500, 0.210) (multiplicity 4)
Sn (0.177, 0.000, 0.659) (multiplicity 4)

Peak list (10 most intense, 10° ≤ 2θ ≤ 90°, sorted by position)
two_theta, Rel. int.
26.09, 28
26.59, 99
31.19, 57
32.71, 100
35.58, 33
36.16, 74
40.17, 60
42.21, 22
43.86, 28
52.71, 33

(3)
# K3Fe2Se4
Computed X-ray powder pattern, Cu Kα X-rays. Input: a DFT-relaxed cell (PBE, Alexandria).
Neutral-atom scattering factors, no anomalous dispersion.

Crystal structure
a b c (Å): 14.291 10.487 7.146
angles (deg): 90.00 94.88 90.00
Space group C2/c (No. 15)
Symmetry-distinct sites (fractional):
K (0.000, 0.090, 0.250) (multiplicity 4)
K (0.122, 0.367, 0.552) (multiplicity 8)
Fe (0.216, 0.129, 0.944) (multiplicity 8)
Se (0.118, 0.312, 0.018) (multiplicity 8)
Se (0.177, 0.066, 0.612) (multiplicity 8)

Peak list (10 most intense, 10° ≤ 2θ ≤ 90°, sorted by position)
two_theta, Rel. int.
12.43, 90
15.87, 47
16.69, 35
23.96, 58
25.02, 100
28.97, 59
32.58, 78
33.65, 67
36.19, 51
54.50, 58

(4)
# AcYSbTe
Computed X-ray powder pattern, Cu Kα X-rays. Input: a DFT-relaxed cell (PBE, Alexandria).
Neutral-atom scattering factors, no anomalous dispersion.

Crystal structure
a b c (Å): 4.5701 4.5701 22.4985
angles (deg): 90.00 90.00 120.00
Space group R3m (No. 160, hexagonal axes)
Symmetry-distinct sites (fractional):
Ac (0.0000, 0.0000, 0.0000) (multiplicity 3)
Y (0.0000, 0.0000, 0.5069) (multiplicity 3)
Sb (0.0000, 0.0000, 0.2454) (multiplicity 3)
Te (0.0000, 0.0000, 0.7613) (multiplicity 3)

Peak list (10 most intense, 10° ≤ 2θ ≤ 90°, sorted by position)
two_theta, Rel. int.
22.81, 10
27.56, 100
30.07, 10
39.30, 36
39.43, 39
48.78, 21
56.89, 12
64.27, 15
64.45, 18
71.46, 19

(5)
# CsBiF3
Computed X-ray powder pattern, Cu Kα X-rays. Input: a DFT-relaxed cell (PBE, Alexandria).
Neutral-atom scattering factors, no anomalous dispersion.

Crystal structure
a b c (Å): 7.282 4.064 14.653
angles (deg): 90.00 90.00 90.00
Space group Pnma (No. 62)
Symmetry-distinct sites (fractional):
Cs (0.248, 0.250, 0.015) (multiplicity 4)
Bi (0.009, 0.250, 0.252) (multiplicity 4)
F (0.017, 0.750, 0.140) (multiplicity 4)
F (0.059, 0.250, 0.679) (multiplicity 4)
F (0.119, 0.250, 0.394) (multiplicity 4)

Peak list (10 most intense, 10° ≤ 2θ ≤ 90°, sorted by position)
two_theta, Rel. int.
22.71, 50
24.30, 45
25.83, 25
27.35, 100
31.15, 24
33.61, 27
37.85, 31
37.95, 44
44.64, 37
53.11, 32

(6)
# Pm5Nd5Ho
Computed X-ray powder pattern, Cu Kα X-rays. Input: a DFT-relaxed cell (PBE, Alexandria).
Neutral-atom scattering factors, no anomalous dispersion.

Crystal structure
a b c (Å): 6.2324 6.2324 11.6543
angles (deg): 90.00 90.00 120.00
Space group P-6m2 (No. 187)
Symmetry-distinct sites (fractional):
Pm (0.0000, 0.0000, 0.0000) (multiplicity 1)
Pm (0.3333, 0.6667, 0.3169) (multiplicity 2)
Pm (0.6667, 0.3333, 0.1577) (multiplicity 2)
Nd (0.0000, 0.0000, 0.2636) (multiplicity 2)
Nd (0.3395, 0.1697, 0.5000) (multiplicity 3)
Ho (0.3333, 0.6667, 0.0000) (multiplicity 1)

Peak list (10 most intense, 10° ≤ 2θ ≤ 90°, sorted by position)
two_theta, Rel. int.
28.30, 100
28.65, 89
29.68, 33
34.10, 29
35.00, 28
36.70, 24
36.98, 22
45.83, 22
50.53, 38
59.31, 28

(7)
# Tb5SbSe5
Computed X-ray powder pattern, Cu Kα X-rays. Input: a DFT-relaxed cell (PBE, Alexandria).
Neutral-atom scattering factors, no anomalous dispersion.

Crystal structure
a b c (Å): 13.061 5.892 8.308
angles (deg): 90.00 108.33 90.00
Space group C2/m (No. 12)
Symmetry-distinct sites (fractional):
Tb (0.000, 0.000, 0.000) (multiplicity 2)
Tb (0.166, 0.500, 0.822) (multiplicity 4)
Tb (0.168, 0.500, 0.343) (multiplicity 4)
Sb (0.000, 0.500, 0.000) (multiplicity 2)
Se (0.000, 0.500, 0.500) (multiplicity 2)
Se (0.164, 0.000, 0.334) (multiplicity 4)
Se (0.171, 0.000, 0.838) (multiplicity 4)

Peak list (10 most intense, 10° ≤ 2θ ≤ 90°, sorted by position)
two_theta, Rel. int.
30.34, 55
30.45, 54
30.57, 53
43.57, 100
43.81, 20
54.02, 21
54.22, 21
71.72, 19
72.13, 13
79.87, 13

(8)
# CsK6Bi3
Computed X-ray powder pattern, Cu Kα X-rays. Input: a DFT-relaxed cell (PBE, Alexandria).
Neutral-atom scattering factors, no anomalous dispersion.

Crystal structure
a b c (Å): 11.134 5.946 15.445
angles (deg): 90.00 106.94 90.00
Space group P2_1/m (No. 11)
Symmetry-distinct sites (fractional):
Cs (0.084, 0.250, 0.287) (multiplicity 2)
K (0.047, 0.250, 0.939) (multiplicity 2)
K (0.265, 0.750, 0.731) (multiplicity 2)
K (0.314, 0.250, 0.575) (multiplicity 2)
K (0.357, 0.750, 0.436) (multiplicity 2)
K (0.374, 0.750, 0.190) (multiplicity 2)
K (0.415, 0.250, 0.040) (multiplicity 2)
Bi (0.033, 0.750, 0.468) (multiplicity 2)
Bi (0.225, 0.750, 0.950) (multiplicity 2)
Bi (0.451, 0.250, 0.331) (multiplicity 2)

Peak list (10 most intense, 10° ≤ 2θ ≤ 90°, sorted by position)
two_theta, Rel. int.
15.96, 41
16.07, 39
16.48, 32
17.50, 36
19.45, 37
27.50, 29
27.75, 39
28.43, 100
30.06, 53
30.38, 66